GdVO2: simulated powder diffraction line list (λ = 1.5418 Å (Cu Kα)), based on the PBE+U geometry in Alexandria.
Lines closer than 0.1° are merged.

Principal peaks in the range 10° ≤ 2θ ≤ 90°, by angle:
d [Å], 2θ/deg, Rel. int.
6.365, 13.91, 36.7
3.182, 28.04, 42.1
2.839, 31.51, 41.8
2.749, 32.57, 100.0
2.460, 36.52, 50.0
1.835, 49.67, 36.6

Cell and atoms:
a = 3.3148 Å, b = 3.3148 Å, c = 19.0949 Å
α = 90.00°, β = 90.00°, γ = 120.00°
Space group R-3m (No. 166, hexagonal axes)
One atom of each set of equivalent atoms:
Gd 0.0000 0.0000 0.0000
V 0.0000 0.0000 0.5000
O 0.0000 0.0000 0.1156